Simulated powder X-ray diffraction pattern of LuH2ClO2 for CuKα, from the GGA-PBE geometry in the Materials Project.

abc: 12.6262 3.5042 6.2067
angles: 90.00 90.00 90.00
Positions (direct):
Lu (0.0511, 0.2500, 0.2494)
Lu (0.4489, 0.7500, 0.7494)
Lu (0.5511, 0.2500, 0.2506)
Lu (0.9489, 0.7500, 0.7506)
H (0.1212, 0.2500, 0.6858)
H (0.1547, 0.7500, 0.9541)
H (0.3453, 0.2500, 0.4541)
H (0.3788, 0.7500, 0.1858)
H (0.6212, 0.2500, 0.8142)
H (0.6547, 0.7500, 0.5459)
H (0.8453, 0.2500, 0.0459)
H (0.8788, 0.7500, 0.3142)
Cl (0.2121, 0.7500, 0.3837)
Cl (0.2879, 0.2500, 0.8837)
Cl (0.7121, 0.7500, 0.1163)
Cl (0.7879, 0.2500, 0.6163)
O (0.0481, 0.2500, 0.6293)
O (0.0803, 0.7500, 0.0015)
O (0.4197, 0.2500, 0.5015)
O (0.4519, 0.7500, 0.1293)
O (0.5481, 0.2500, 0.8707)
O (0.5803, 0.7500, 0.4985)
O (0.9197, 0.2500, 0.9985)
O (0.9519, 0.7500, 0.3707)

Principal peaks in the range 2θ = 10–80°, by angle:
d (Å)  I/Imax
6.313  100
4.426  61
3.103  26
3.051  39
2.814  32
2.785  31
2.747  73
2.345  41
2.180  25
1.993  20
1.871  34
1.782  20